(1)
For Cd2CuIO6, a DFT-relaxed cell (PBE, Alexandria) gives the computed PXRD pattern in this record (Cu Kα X-rays).
No peak broadening, texture or thermal motion is included.

The 10 most intense peaks (15° ≤ 2θ ≤ 90°), sorted by position:
- (1 1 1), 2.890 Å, I = 100
- (0 2 0), 2.732 Å, I = 17
- (2 0 -2), 2.640 Å, I = 15
- (0 0 4), 2.228 Å, I = 14
- (2 2 -2), 1.898 Å, I = 17
- (0 2 4), 1.727 Å, I = 12
- (2 0 -6), 1.701 Å, I = 6
- (1 3 1), 1.606 Å, I = 13
- (3 1 -1), 1.568 Å, I = 16
- (1 1 5), 1.383 Å, I = 11

Crystal structure
abc: 5.280 5.464 10.348
angles: 90.00 120.54 90.00
Space group P2_1/c (No. 14)
Symmetry-distinct sites (fractional):
Cd: 0.216 0.043 0.247
Cu: 0.000 0.000 0.500
I: 0.500 0.000 0.000
O: 0.160 0.219 0.943
O: 0.208 0.723 0.918
O: 0.429 0.061 0.798

=====

(2)
For Al3Fe2Os, a DFT-relaxed cell (PBE, Alexandria) gives the computed PXRD pattern in this record (Cu Kα X-rays).
No peak broadening, texture or thermal motion is included.

The 10 most intense peaks (15° ≤ 2θ ≤ 90°), sorted by position:
- (0 0 2), 4.341 Å, I = 21
- (1 0 0), 2.951 Å, I = 47
- (0 0 3), 2.894 Å, I = 22
- (1 0 1), 2.794 Å, I = 25
- (1 0 2), 2.441 Å, I = 24
- (1 1 0), 2.087 Å, I = 52
- (1 0 3), 2.066 Å, I = 100
- (1 1 3), 1.693 Å, I = 18
- (2 0 0), 1.476 Å, I = 17
- (2 1 3), 1.201 Å, I = 33

Crystal structure
abc: 2.951 2.951 8.682
angles: 90.00 90.00 90.00
Space group P4/mmm (No. 123)
Symmetry-distinct sites (fractional):
Al: 0.000 0.000 0.000
Al: 0.000 0.000 0.324
Fe: 0.500 0.500 0.157
Os: 0.500 0.500 0.500